Starting from a PBE-relaxed structure, the PXRD pattern of Gd2Si2O7 was simulated for Cu Kα.
Peak positions follow from Bragg's law for the DFT cell and can differ from measured ones.

Peak list (10 most intense, 15° ≤ 2θ ≤ 90°, in order of rising 2θ)
Position (°2θ), d_spacing, Rel. int.
19.79, 4.487, 28
20.05, 4.429, 40
26.39, 3.377, 26
28.01, 3.185, 24
29.20, 3.059, 100
30.12, 2.967, 37
30.59, 2.922, 33
31.28, 2.860, 26
32.37, 2.766, 23
49.37, 1.846, 26

Atomic structure:
a b c (Å): 6.724 6.775 12.279
angles (deg): 94.38 90.87 91.51
Fractional positions:
Gd 0.054 0.330 0.116
Gd 0.117 0.091 0.358
Gd 0.333 0.828 0.106
Gd 0.367 0.226 0.631
Gd 0.633 0.774 0.369
Gd 0.667 0.172 0.894
Gd 0.883 0.909 0.642
Gd 0.946 0.670 0.884
Si 0.147 0.628 0.383
Si 0.153 0.149 0.884
Si 0.377 0.729 0.595
Si 0.487 0.667 0.824
Si 0.513 0.333 0.176
Si 0.623 0.271 0.405
Si 0.847 0.851 0.116
Si 0.853 0.372 0.617
O 0.001 0.986 0.817
O 0.002 0.669 0.081
O 0.035 0.230 0.573
O 0.078 0.421 0.315
O 0.228 0.908 0.623
O 0.239 0.089 0.001
O 0.288 0.780 0.315
O 0.289 0.578 0.491
O 0.301 0.707 0.905
O 0.341 0.212 0.812
O 0.360 0.490 0.128
O 0.379 0.140 0.208
O 0.400 0.577 0.695
O 0.415 0.173 0.445
O 0.585 0.827 0.555
O 0.600 0.423 0.305
O 0.621 0.860 0.792
O 0.640 0.510 0.872
O 0.659 0.788 0.188
O 0.699 0.293 0.095
O 0.711 0.422 0.509
O 0.712 0.220 0.685
O 0.761 0.911 0.999
O 0.772 0.092 0.377
O 0.922 0.579 0.685
O 0.965 0.770 0.427
O 0.998 0.331 0.919
O 0.999 0.014 0.183

Starting from a PBE-relaxed structure, the PXRD pattern of Na2SmCl5 was simulated for Cu Kα.
Peak positions follow from Bragg's law for the DFT cell and can differ from measured ones.

Peak list (10 most intense, 15° ≤ 2θ ≤ 90°, in order of rising 2θ)
Position (°2θ), d_spacing, Rel. int.
15.52, 5.708, 71
21.17, 4.196, 72
21.34, 4.163, 58
25.19, 3.535, 91
25.79, 3.455, 60
34.72, 2.584, 93
36.47, 2.463, 99
39.23, 2.296, 100
43.11, 2.098, 53
44.59, 2.032, 76

Atomic structure:
a b c (Å): 12.172 8.393 7.786
angles (deg): 90.00 90.00 90.00
Fractional positions:
Na 0.172 0.004 0.042
Na 0.172 0.496 0.042
Na 0.328 0.504 0.542
Na 0.328 0.996 0.542
Na 0.672 0.004 0.458
Na 0.672 0.496 0.458
Na 0.828 0.504 0.958
Na 0.828 0.996 0.958
Sm 0.008 0.250 0.582
Sm 0.492 0.750 0.082
Sm 0.508 0.250 0.918
Sm 0.992 0.750 0.418
Cl 0.004 0.250 0.940
Cl 0.084 0.545 0.668
Cl 0.084 0.955 0.668
Cl 0.186 0.250 0.366
Cl 0.213 0.750 0.331
Cl 0.287 0.250 0.831
Cl 0.314 0.750 0.866
Cl 0.416 0.045 0.168
Cl 0.416 0.455 0.168
Cl 0.496 0.750 0.440
Cl 0.504 0.250 0.560
Cl 0.584 0.545 0.832
Cl 0.584 0.955 0.832
Cl 0.686 0.250 0.134
Cl 0.713 0.750 0.169
Cl 0.787 0.250 0.669
Cl 0.814 0.750 0.634
Cl 0.916 0.045 0.332
Cl 0.916 0.455 0.332
Cl 0.996 0.750 0.060

Starting from a PBE-relaxed structure, the PXRD pattern of Sc2Ge2O7 was simulated for Cu Kα.
Peak positions follow from Bragg's law for the DFT cell and can differ from measured ones.

Peak list (10 most intense, 15° ≤ 2θ ≤ 90°, in order of rising 2θ)
Position (°2θ), d_spacing, Rel. int.
15.79, 5.612, 12
30.50, 2.931, 13
31.90, 2.806, 100
37.00, 2.430, 17
48.68, 1.871, 4
53.32, 1.718, 56
63.49, 1.465, 38
66.67, 1.403, 7
78.77, 1.215, 7
87.49, 1.115, 15

Atomic structure:
a b c (Å): 6.873 6.873 6.873
angles (deg): 60.00 60.00 60.00
Fractional positions:
Sc 0.000 0.000 0.000
Sc 0.000 0.000 0.500
Sc 0.000 0.500 0.000
Sc 0.500 0.000 0.000
Ge 0.000 0.500 0.500
Ge 0.500 0.000 0.500
Ge 0.500 0.500 0.000
Ge 0.500 0.500 0.500
O 0.125 0.125 0.125
O 0.167 0.167 0.583
O 0.167 0.583 0.167
O 0.167 0.583 0.583
O 0.417 0.417 0.833
O 0.417 0.833 0.417
O 0.417 0.833 0.833
O 0.583 0.167 0.167
O 0.583 0.167 0.583
O 0.583 0.583 0.167
O 0.833 0.417 0.417
O 0.833 0.417 0.833
O 0.833 0.833 0.417
O 0.875 0.875 0.875